Entry 1:
Starting from a crystal structure in Alexandria, relaxed with GGA-PBE, the PXRD pattern of SrNb3Ag was calculated for Cu Kα (λ = 1.5418 Å).
Peak positions follow from Bragg's law for the DFT cell and can differ from measured ones.

Peak list (10 most intense, 2θ from 10° to 90°, low angle first)
hkl 1 0 0, 17.36°, I = 36
hkl 1 1 0, 24.64°, I = 23
hkl 1 1 1, 30.30°, I = 58
hkl 2 0 0, 35.13°, I = 100
hkl 2 1 0, 39.43°, I = 17
hkl 2 2 0, 50.52°, I = 69
hkl 3 1 1, 60.05°, I = 24
hkl 2 2 2, 63.02°, I = 23
hkl 4 0 0, 74.24°, I = 11
hkl 4 2 0, 84.87°, I = 30

Crystal structure
```
data_SrNb3Ag
_chemical_formula_sum 'Sr1 Nb3 Ag1'
_cell_length_a 5.1095
_cell_length_b 5.1095
_cell_length_c 5.1095
_cell_angle_alpha 90.00
_cell_angle_beta 90.00
_cell_angle_gamma 90.00
_symmetry_space_group_name_H-M 'P m -3 m'
_symmetry_Int_Tables_number 221
_symmetry_space_group_name_Hall '-P 4 2 3'
loop_
_atom_site_label
_atom_site_fract_x
_atom_site_fract_y
_atom_site_fract_z
Sr1 0.0000 0.0000 0.0000
Nb1 0.0000 0.5000 0.5000
Ag1 0.5000 0.5000 0.5000
```

=====

Entry 2:
Starting from a crystal structure in Alexandria, relaxed with GGA-PBE, the PXRD pattern of NbAg2Te was calculated for Cu Kα (λ = 1.5418 Å).
Peak positions follow from Bragg's law for the DFT cell and can differ from measured ones.

Peak list (10 most intense, 2θ from 10° to 90°, low angle first)
hkl 2 2 0, 31.98°, I = 100
hkl 1 1 2, 36.58°, I = 69
hkl 4 0 0, 45.86°, I = 36
hkl 3 1 2, 49.37°, I = 57
hkl 3 3 2, 60.04°, I = 16
hkl 4 4 0, 66.86°, I = 11
hkl 5 1 2, 69.65°, I = 20
hkl 2 0 4, 73.27°, I = 17
hkl 6 2 0, 76.05°, I = 15
hkl 5 3 2, 78.70°, I = 14

Crystal structure
```
data_NbAg2Te
_chemical_formula_sum 'Nb4 Ag8 Te4'
_cell_length_a 7.9155
_cell_length_b 7.9155
_cell_length_c 5.4675
_cell_angle_alpha 90.00
_cell_angle_beta 90.00
_cell_angle_gamma 90.00
_symmetry_space_group_name_H-M 'I -4 2 d'
_symmetry_Int_Tables_number 122
_symmetry_space_group_name_Hall 'I -4 2bw'
loop_
_atom_site_label
_atom_site_fract_x
_atom_site_fract_y
_atom_site_fract_z
Nb1 0.0000 0.0000 0.0000
Ag1 0.2485 0.2500 0.6250
Te1 0.0000 0.0000 0.5000
```

=====

Entry 3:
Starting from a crystal structure in Alexandria, relaxed with GGA-PBE, the PXRD pattern of Nb3AgTe4 was calculated for Cu Kα (λ = 1.5418 Å).
Peak positions follow from Bragg's law for the DFT cell and can differ from measured ones.

Peak list (10 most intense, 2θ from 10° to 90°, low angle first)
hkl 1 1 1, 26.35°, I = 57
hkl 2 0 1, 28.39°, I = 19
hkl 3 0 0, 31.52°, I = 80
hkl 1 2 1, 33.85°, I = 100
hkl 1 3 0, 38.10°, I = 43
hkl 0 0 2, 38.64°, I = 31
hkl 1 0 2, 40.12°, I = 20
hkl 2 2 1, 41.53°, I = 85
hkl 3 0 2, 50.67°, I = 31
hkl 3 4 0, 66.86°, I = 22

Crystal structure
```
data_Nb3AgTe4
_chemical_formula_sum 'Nb6 Ag2 Te8'
_cell_length_a 9.8333
_cell_length_b 9.8333
_cell_length_c 4.6598
_cell_angle_alpha 90.00
_cell_angle_beta 90.00
_cell_angle_gamma 120.00
_symmetry_space_group_name_H-M 'P 63/m'
_symmetry_Int_Tables_number 176
_symmetry_space_group_name_Hall '-P 6c'
loop_
_atom_site_label
_atom_site_fract_x
_atom_site_fract_y
_atom_site_fract_z
Nb1 0.1448 0.6404 0.2500
Ag1 0.0000 0.0000 0.0000
Te1 0.0152 0.3132 0.2500
Te2 0.3333 0.6667 0.7500
```

=====

Entry 4:
Starting from a crystal structure in Alexandria, relaxed with GGA-PBE, the PXRD pattern of NbTlAg was calculated for Cu Kα (λ = 1.5418 Å).
Peak positions follow from Bragg's law for the DFT cell and can differ from measured ones.

Peak list (10 most intense, 2θ from 10° to 90°, low angle first)
hkl 1 0 1, 26.82°, I = 12
hkl 1 0 2, 30.58°, I = 36
hkl 1 0 3, 36.06°, I = 100
hkl 1 1 0, 36.31°, I = 70
hkl 1 1 4, 50.37°, I = 12
hkl 2 0 0, 52.30°, I = 24
hkl 1 1 5, 57.08°, I = 10
hkl 2 1 2, 61.80°, I = 10
hkl 2 1 3, 65.16°, I = 35
hkl 3 1 0, 88.34°, I = 11

Crystal structure
```
data_NbTlAg
_chemical_formula_sum 'Nb2 Tl2 Ag2'
_cell_length_a 3.4986
_cell_length_b 3.4986
_cell_length_c 10.6430
_cell_angle_alpha 90.00
_cell_angle_beta 90.00
_cell_angle_gamma 90.00
_symmetry_space_group_name_H-M 'P 4 m m'
_symmetry_Int_Tables_number 99
_symmetry_space_group_name_Hall 'P 4 -2'
loop_
_atom_site_label
_atom_site_fract_x
_atom_site_fract_y
_atom_site_fract_z
Nb1 0.0000 0.0000 0.0000
Nb2 0.5000 0.5000 0.1190
Tl1 0.0000 0.0000 0.2958
Tl2 0.5000 0.5000 0.5226
Ag1 0.0000 0.0000 0.7061
Ag2 0.5000 0.5000 0.8392
```